[1]
# Ca2ZnNi
Simulated powder diffractogram, Cu Kα X-rays. Input: the PBE geometry in Alexandria.
Kinematic intensities with the Lorentz-polarization factor, no thermal factor.

Largest 12 diffraction maxima, by intensity, 10° ≤ 2θ ≤ 90°:
2theta	Rel. int.
31.07	100
39.11	100
32.48	67
16.32	64
39.55	57
22.45	47
42.51	38
43.18	36
59.46	32
55.05	27
62.20	22
55.28	22

Unit cell a=4.1906 b=4.2527 c=10.8608 alpha=90.00 beta=90.00 gamma=90.00
Space group Amm2 (No. 38)
Symmetry-distinct sites (fractional):
Ca 0.0000 0.0000 0.0000
Ca 0.5000 0.0000 0.2847
Zn 0.5000 0.0000 0.5848
Ni 0.0000 0.0000 0.6995

[2]
# Pm2PrSm4Ho
Simulated powder diffractogram, Cu Kα X-rays. Input: the PBE geometry in Alexandria.
Kinematic intensities with the Lorentz-polarization factor, no thermal factor.

Largest 12 diffraction maxima, by intensity, 10° ≤ 2θ ≤ 90°:
2theta	Rel. int.
40.46	100
29.88	75
26.63	52
29.95	38
63.73	26
60.30	20
53.02	14
60.48	10
79.79	9
53.21	8
68.91	7
54.85	7

Unit cell a=13.7708 b=13.3892 c=6.9126 alpha=90.00 beta=119.93 gamma=90.00
Space group C2/c (No. 15)
Symmetry-distinct sites (fractional):
Pm 0.0000 0.0000 0.0000
Pm 0.2500 0.2500 0.0000
Pr 0.2500 0.2500 0.5000
Sm 0.0007 0.2544 0.5012
Sm 0.2470 0.4994 0.9712
Ho 0.0000 0.5000 0.0000

[3]
# Sm2HoTm7
Simulated powder diffractogram, Cu Kα X-rays. Input: the PBE geometry in Alexandria.
Kinematic intensities with the Lorentz-polarization factor, no thermal factor.

Largest 12 diffraction maxima, by intensity, 10° ≤ 2θ ≤ 90°:
2theta	Rel. int.
31.14	100
36.12	51
52.00	36
61.83	29
61.93	14
64.95	12
87.69	10
84.96	9
85.04	9
87.83	6
76.57	4
76.74	2

Unit cell a=6.0897 b=7.0286 c=7.8712 alpha=77.09 beta=75.00 gamma=73.32
Space group P-1 (No. 2)
Symmetry-distinct sites (fractional):
Sm 0.2009 0.2991 0.1009
Ho 0.0000 0.0000 0.5000
Tm 0.0000 0.5000 0.5000
Tm 0.1996 0.8000 0.1010
Tm 0.3996 0.1009 0.6980
Tm 0.3999 0.6003 0.6988

[4]
# Sr6Tl2N
Simulated powder diffractogram, Cu Kα X-rays. Input: the PBE geometry in Alexandria.
Kinematic intensities with the Lorentz-polarization factor, no thermal factor.

Largest 12 diffraction maxima, by intensity, 10° ≤ 2θ ≤ 90°:
2theta	Rel. int.
28.18	100
29.37	78
30.32	64
28.90	58
30.03	56
27.68	43
37.02	43
18.46	39
53.63	34
35.31	27
22.64	25
31.80	25

Unit cell a=3.9267 b=16.1342 c=10.7148 alpha=90.00 beta=90.00 gamma=90.00
Space group Amm2 (No. 38)
Symmetry-distinct sites (fractional):
Sr 0.0000 0.0000 0.0000
Sr 0.0000 0.0989 0.6161
Sr 0.5000 0.0000 0.3361
Sr 0.5000 0.2240 0.9216
Tl 0.0000 0.1759 0.1946
N 0.5000 0.0000 0.5616

[5]
# B2SbSe6
Simulated powder diffractogram, Cu Kα X-rays. Input: the PBE geometry in Alexandria.
Kinematic intensities with the Lorentz-polarization factor, no thermal factor.

Largest 12 diffraction maxima, by intensity, 10° ≤ 2θ ≤ 90°:
2theta	Rel. int.
29.57	100
19.73	85
32.84	79
39.96	62
28.51	61
34.76	59
31.59	57
12.12	51
32.35	48
37.95	39
26.96	39
34.50	35

Unit cell a=15.0307 b=11.7639 c=6.2605 alpha=90.00 beta=103.62 gamma=90.00
Space group C2/c (No. 15)
Symmetry-distinct sites (fractional):
B 0.2405 0.0628 0.2641
Sb 0.0000 0.0987 0.7500
Se 0.0999 0.0821 0.2056
Se 0.1958 0.4513 0.9946
Se 0.2167 0.2718 0.6506

[6]
# SnSb2H2
Simulated powder diffractogram, Cu Kα X-rays. Input: the PBE geometry in Alexandria.
Kinematic intensities with the Lorentz-polarization factor, no thermal factor.

Largest 12 diffraction maxima, by intensity, 10° ≤ 2θ ≤ 90°:
2theta	Rel. int.
31.41	100
23.48	93
39.76	48
32.02	48
40.09	47
39.36	24
39.46	24
58.80	18
62.23	13
58.25	12
48.02	11
55.53	10

Unit cell a=4.9982 b=5.0061 c=5.0098 alpha=69.46 beta=67.91 gamma=69.31
Space group P-1 (No. 2)
Symmetry-distinct sites (fractional):
Sn 0.0000 0.0000 0.0000
Sb 0.3516 0.3510 0.3529
H 0.1859 0.1826 0.1874

[7]
# LaSm2DyTm4
Simulated powder diffractogram, Cu Kα X-rays. Input: the PBE geometry in Alexandria.
Kinematic intensities with the Lorentz-polarization factor, no thermal factor.

Largest 12 diffraction maxima, by intensity, 10° ≤ 2θ ≤ 90°:
2theta	Rel. int.
30.77	100
35.32	17
35.49	17
36.20	16
60.59	15
60.81	14
61.76	14
64.08	12
50.94	12
51.48	12
51.60	12
83.13	6

Unit cell a=7.1678 b=9.9246 c=7.1742 alpha=90.00 beta=90.26 gamma=90.00
Space group Pm (No. 6)
Symmetry-distinct sites (fractional):
La 0.0000 0.0000 0.0000
La 0.0002 0.0000 0.5001
Sm 0.9997 0.5000 0.4992
Sm 0.4998 0.0000 0.4993
Sm 0.5001 0.5000 0.9999
Sm 0.4999 0.5000 0.4998
Dy 0.9999 0.5000 0.9993
Dy 0.4998 0.0000 0.9992
Tm 0.2518 0.2524 0.2485
Tm 0.2519 0.2523 0.7510
Tm 0.7477 0.2519 0.2482
Tm 0.7479 0.2521 0.7508

[8]
# PaCu2F11
Simulated powder diffractogram, Cu Kα X-rays. Input: the PBE geometry in Alexandria.
Kinematic intensities with the Lorentz-polarization factor, no thermal factor.

Largest 12 diffraction maxima, by intensity, 10° ≤ 2θ ≤ 90°:
2theta	Rel. int.
22.38	100
26.91	64
14.75	58
48.25	33
33.37	26
45.67	26
48.63	24
24.91	20
46.06	15
37.55	15
47.91	15
20.92	13

Unit cell a=8.4833 b=8.5009 c=10.5969 alpha=90.00 beta=90.00 gamma=90.00
Space group Ibam (No. 72)
Symmetry-distinct sites (fractional):
Pa 0.0000 0.0000 0.2500
Cu 0.1631 0.3369 0.0000
F 0.0000 0.5000 0.0000
F 0.0612 0.2095 0.1365
F 0.1876 0.3119 0.5000
F 0.2104 0.0612 0.3633

[9]
# Ce3Se2NO
Simulated powder diffractogram, Cu Kα X-rays. Input: the PBE geometry in Alexandria.
Kinematic intensities with the Lorentz-polarization factor, no thermal factor.

Largest 12 diffraction maxima, by intensity, 10° ≤ 2θ ≤ 90°:
2theta	Rel. int.
29.84	100
28.66	57
35.78	46
47.27	29
45.27	19
54.46	19
59.32	19
24.74	13
39.09	11
46.85	11
40.00	11
77.64	9

Unit cell a=24.4974 b=4.0060 c=9.3896 alpha=90.00 beta=95.63 gamma=90.00
Space group Cm (No. 8)
Symmetry-distinct sites (fractional):
Ce 0.0000 0.0000 0.0000
Ce 0.0332 0.5000 0.6741
Ce 0.0925 0.0000 0.3484
Ce 0.1251 0.5000 0.0223
Ce 0.2225 0.5000 0.6574
Ce 0.2737 0.0000 0.3311
Ce 0.3122 0.5000 0.0056
Ce 0.3506 0.0000 0.6899
Ce 0.4049 0.5000 0.3644
Se 0.0021 0.5000 0.3403
Se 0.1237 0.0000 0.6837
Se 0.1800 0.5000 0.3378
Se 0.2235 0.0000 0.9874
Se 0.4010 0.0000 0.0424
Se 0.4456 0.5000 0.6827
N 0.0364 0.5000 0.9111
N 0.0884 0.0000 0.1115
N 0.3107 0.5000 0.7670
O 0.2601 0.0000 0.5733
O 0.3139 0.5000 0.2565
O 0.3649 0.0000 0.4410

[10]
# PuSc3Ni8
Simulated powder diffractogram, Cu Kα X-rays. Input: the PBE geometry in Alexandria.
Kinematic intensities with the Lorentz-polarization factor, no thermal factor.

Largest 12 diffraction maxima, by intensity, 10° ≤ 2θ ≤ 90°:
2theta	Rel. int.
42.99	100
43.81	80
39.69	79
23.56	52
11.00	45
36.39	38
30.52	33
67.69	31
20.77	29
73.72	27
50.18	24
77.28	22

Unit cell a=4.9382 b=4.9382 c=8.0397 alpha=90.00 beta=90.00 gamma=120.00
Space group P3m1 (No. 156)
Symmetry-distinct sites (fractional):
Pu 0.0000 0.0000 0.0000
Sc 0.0000 0.0000 0.3777
Sc 0.6667 0.3333 0.5005
Sc 0.6667 0.3333 0.8714
Ni 0.1661 0.3321 0.6824
Ni 0.3333 0.6667 0.4355
Ni 0.3333 0.6667 0.9363
Ni 0.5011 0.0022 0.1906